Entry 1:
Diffraction record for Cs2GeTe4. The powder diffraction line list is theoretical, not measured: it uses a PBE-relaxed structure and Cu Ka.
No peak broadening, texture or thermal motion is included.

Structural model:
a b c (Å): 12.877 11.823 7.738
angles (deg): 90.00 90.00 90.00
Atoms (fractional coordinates):
Cs1 0.146 0.056 0.098
Cs2 0.146 0.444 0.098
Cs3 0.354 0.556 0.598
Cs4 0.354 0.944 0.598
Cs5 0.646 0.056 0.402
Cs6 0.646 0.444 0.402
Cs7 0.854 0.556 0.902
Cs8 0.854 0.944 0.902
Ge1 0.063 0.750 0.493
Ge2 0.437 0.250 0.993
Ge3 0.563 0.750 0.007
Ge4 0.937 0.250 0.507
Te1 0.067 0.077 0.586
Te2 0.067 0.423 0.586
Te3 0.118 0.750 0.817
Te4 0.211 0.750 0.257
Te5 0.289 0.250 0.757
Te6 0.382 0.250 0.317
Te7 0.433 0.577 0.086
Te8 0.433 0.923 0.086
Te9 0.567 0.077 0.914
Te10 0.567 0.423 0.914
Te11 0.618 0.750 0.683
Te12 0.711 0.750 0.243
Te13 0.789 0.250 0.743
Te14 0.882 0.250 0.183
Te15 0.933 0.577 0.414
Te16 0.933 0.923 0.414

Main lines, in order of rising 2θ (15° ≤ 2θ ≤ 90°):
| Position (°2θ) | I/Imax |
| --- | --- |
| 23.70 | 323 |
| 25.19 | 275 |
| 26.52 | 1000 |
| 28.43 | 311 |
| 31.06 | 243 |
| 43.58 | 271 |


Entry 2:
Diffraction record for Cs6ZnGe8. The powder diffraction line list is theoretical, not measured: it uses a PBE-relaxed structure and Cu Ka.
No peak broadening, texture or thermal motion is included.

Structural model:
a b c (Å): 13.472 12.891 16.348
angles (deg): 53.29 50.10 76.61
Atoms (fractional coordinates):
Cs1 0.000 0.000 0.000
Cs2 0.078 0.705 0.922
Cs3 0.145 0.483 0.517
Cs4 0.183 0.817 0.183
Cs5 0.240 0.893 0.398
Cs6 0.245 0.522 0.097
Cs7 0.331 0.331 0.669
Cs8 0.410 0.705 0.590
Cs9 0.483 0.145 0.855
Cs10 0.522 0.245 0.137
Cs11 0.531 0.602 0.107
Cs12 0.602 0.531 0.760
Cs13 0.705 0.078 0.295
Cs14 0.705 0.410 0.295
Cs15 0.817 0.183 0.817
Cs16 0.863 0.903 0.478
Cs17 0.893 0.240 0.469
Cs18 0.903 0.863 0.755
Zn1 0.039 0.373 0.961
Zn2 0.373 0.039 0.627
Zn3 0.702 0.702 0.298
Ge1 0.018 0.291 0.168
Ge2 0.072 0.575 0.741
Ge3 0.111 0.147 0.076
Ge4 0.147 0.111 0.665
Ge5 0.190 0.216 0.449
Ge6 0.216 0.190 0.145
Ge7 0.259 0.388 0.928
Ge8 0.291 0.018 0.523
Ge9 0.335 0.924 0.853
Ge10 0.388 0.259 0.425
Ge11 0.477 0.832 0.709
Ge12 0.488 0.675 0.325
Ge13 0.526 0.885 0.115
Ge14 0.551 0.855 0.810
Ge15 0.575 0.072 0.612
Ge16 0.613 0.918 0.201
Ge17 0.675 0.488 0.512
Ge18 0.732 0.799 0.082
Ge19 0.799 0.732 0.387
Ge20 0.832 0.477 0.982
Ge21 0.855 0.551 0.784
Ge22 0.885 0.526 0.474
Ge23 0.918 0.613 0.268
Ge24 0.924 0.335 0.889

Main lines, in order of rising 2θ (15° ≤ 2θ ≤ 90°):
| Position (°2θ) | I/Imax |
| --- | --- |
| 23.25 | 435 |
| 23.79 | 588 |
| 24.47 | 772 |
| 30.72 | 1000 |
| 32.93 | 522 |
| 48.83 | 622 |


Entry 3:
Diffraction record for CsH. The powder diffraction line list is theoretical, not measured: it uses a PBE-relaxed structure and Cu Ka.
No peak broadening, texture or thermal motion is included.

Structural model:
a b c (Å): 4.558 4.558 4.558
angles (deg): 60.00 60.00 60.00
Atoms (fractional coordinates):
Cs1 0.000 0.000 0.000
H1 0.500 0.500 0.500

Main lines, in order of rising 2θ (15° ≤ 2θ ≤ 90°):
| Position (°2θ) | I/Imax |
| --- | --- |
| 23.91 | 1000 |
| 27.68 | 548 |
| 39.55 | 412 |
| 46.74 | 488 |
| 62.85 | 204 |
| 64.67 | 191 |


Entry 4:
Diffraction record for CsH3. The powder diffraction line list is theoretical, not measured: it uses a PBE-relaxed structure and Cu Ka.
No peak broadening, texture or thermal motion is included.

Structural model:
a b c (Å): 5.379 5.379 5.379
angles (deg): 72.33 72.33 72.33
Atoms (fractional coordinates):
Cs1 0.000 0.000 0.000
Cs2 0.500 0.500 0.500
H1 0.137 0.250 0.363
H2 0.250 0.363 0.137
H3 0.363 0.137 0.250
H4 0.637 0.863 0.750
H5 0.750 0.637 0.863
H6 0.863 0.750 0.637

Main lines, in order of rising 2θ (15° ≤ 2θ ≤ 90°):
| Position (°2θ) | I/Imax |
| --- | --- |
| 22.09 | 1000 |
| 28.11 | 617 |
| 34.48 | 362 |
| 36.04 | 294 |
| 46.32 | 292 |
| 53.96 | 188 |


Entry 5:
Diffraction record for CsH. The powder diffraction line list is theoretical, not measured: it uses a PBE-relaxed structure and Cu Ka.
No peak broadening, texture or thermal motion is included.

Structural model:
a b c (Å): 3.859 3.859 3.859
angles (deg): 90.00 90.00 90.00
Atoms (fractional coordinates):
Cs1 0.000 0.000 0.000
H1 0.500 0.500 0.500

Main lines, in order of rising 2θ (15° ≤ 2θ ≤ 90°):
| Position (°2θ) | I/Imax |
| --- | --- |
| 23.05 | 1000 |
| 32.82 | 847 |
| 40.49 | 300 |
| 53.07 | 409 |
| 58.60 | 313 |
| 73.65 | 197 |


Entry 6:
Diffraction record for Cs2Hg3H2I8O. The powder diffraction line list is theoretical, not measured: it uses a PBE-relaxed structure and Cu Ka.
No peak broadening, texture or thermal motion is included.

Structural model:
a b c (Å): 11.992 11.992 8.092
angles (deg): 95.80 95.80 142.04
Atoms (fractional coordinates):
Cs1 0.124 0.876 0.000
Cs2 0.876 0.124 0.000
Hg1 0.448 0.837 0.369
Hg2 0.754 0.754 0.443
Hg3 0.837 0.448 0.369
H1 0.161 0.161 0.317
H2 0.301 0.301 0.218
I1 0.100 0.100 0.668
I2 0.230 0.840 0.501
I3 0.302 0.692 0.012
I4 0.455 0.652 0.554
I5 0.638 0.638 0.085
I6 0.652 0.455 0.554
I7 0.692 0.302 0.012
I8 0.840 0.230 0.501
O1 0.171 0.171 0.199

Main lines, in order of rising 2θ (15° ≤ 2θ ≤ 90°):
| Position (°2θ) | I/Imax |
| --- | --- |
| 23.14 | 307 |
| 24.01 | 1000 |
| 24.46 | 164 |
| 38.87 | 239 |
| 39.47 | 166 |
| 39.98 | 207 |


Entry 7:
Diffraction record for CsInH2Se2O8. The powder diffraction line list is theoretical, not measured: it uses a PBE-relaxed structure and Cu Ka.
No peak broadening, texture or thermal motion is included.

Structural model:
a b c (Å): 9.374 9.374 6.881
angles (deg): 99.48 99.48 115.21
Atoms (fractional coordinates):
Cs1 0.098 0.902 0.750
Cs2 0.902 0.098 0.250
In1 0.274 0.726 0.250
In2 0.726 0.274 0.750
H1 0.434 0.537 0.295
H2 0.463 0.566 0.205
H3 0.537 0.434 0.795
H4 0.566 0.463 0.705
Se1 0.115 0.404 0.793
Se2 0.404 0.115 0.293
Se3 0.596 0.885 0.707
Se4 0.885 0.596 0.207
O1 0.061 0.270 0.930
O2 0.065 0.609 0.346
O3 0.215 0.602 0.943
O4 0.216 0.382 0.629
O5 0.270 0.061 0.430
O6 0.382 0.216 0.129
O7 0.391 0.935 0.154
O8 0.398 0.785 0.557
O9 0.602 0.215 0.443
O10 0.609 0.065 0.846
O11 0.618 0.784 0.871
O12 0.730 0.939 0.570
O13 0.784 0.618 0.371
O14 0.785 0.398 0.057
O15 0.935 0.391 0.654
O16 0.939 0.730 0.070

Main lines, in order of rising 2θ (15° ≤ 2θ ≤ 90°):
| Position (°2θ) | I/Imax |
| --- | --- |
| 21.84 | 415 |
| 22.40 | 1000 |
| 25.19 | 456 |
| 27.24 | 324 |
| 28.61 | 582 |
| 29.74 | 267 |